# 1
Computed powder X-ray diffraction pattern of BaMnInSn2 for Cu Ka, from DFT lattice parameters and positions (PBE).
Kinematic intensities with the Lorentz-polarization factor, no thermal factor.

Principal peaks in the range 2θ from 5° to 70°, sorted by position:
two_theta  Rel. int.
17.1  20
24.2  65
29.8  1000
34.4  273
34.6  535
49.6  384
49.7  190
58.7  150
59.0  296
61.8  198

Structure:
```
data_BaMnInSn2
_space_group_name_H-M_alt 'P 4/m m m'
_space_group_IT_number 123
_space_group_name_Hall '-P 4 2'
_cell_length_a 5.1863
_cell_length_b 5.1863
_cell_length_c 5.2193
_cell_angle_alpha 90.00
_cell_angle_beta 90.00
_cell_angle_gamma 90.00
loop_
_atom_site_label
_atom_site_type_symbol
_atom_site_fract_x
_atom_site_fract_y
_atom_site_fract_z
Ba1 Ba 0.0000 0.0000 0.0000
Mn1 Mn 0.5000 0.5000 0.5000
In1 In 0.5000 0.5000 0.0000
Sn1 Sn 0.0000 0.5000 0.5000
```

***

# 2
Computed powder X-ray diffraction pattern of BaIn2Mo for Cu Ka, from DFT lattice parameters and positions (PBE).
Kinematic intensities with the Lorentz-polarization factor, no thermal factor.

Principal peaks in the range 2θ from 5° to 70°, sorted by position:
two_theta  Rel. int.
10.9  92
27.0  189
33.1  111
33.2  1000
35.1  618
41.7  145
49.0  144
50.5  214
51.6  121
61.8  391

Structure:
```
data_BaIn2Mo
_space_group_name_H-M_alt 'P 4/m m m'
_space_group_IT_number 123
_space_group_name_Hall '-P 4 2'
_cell_length_a 3.6135
_cell_length_b 3.6135
_cell_length_c 8.1251
_cell_angle_alpha 90.00
_cell_angle_beta 90.00
_cell_angle_gamma 90.00
loop_
_atom_site_label
_atom_site_type_symbol
_atom_site_fract_x
_atom_site_fract_y
_atom_site_fract_z
Ba1 Ba 0.0000 0.0000 0.0000
In1 In 0.5000 0.5000 0.3168
Mo1 Mo 0.0000 0.0000 0.5000
```

***

Q: Which formula does entry 2 have?
A: BaIn2Mo